Computed powder XRD pattern of Li2CoSiO4 for copper Kα, from a crystal structure in Alexandria, relaxed with PBE+U.
Lines closer than 0.1° are merged.

Most intense lines, 10° ≤ 2θ ≤ 80°, low angle first:
d [Å], I_rel
6.342, 1000
4.149, 352
3.951, 284
3.699, 215
3.206, 198
3.179, 576
2.721, 263
2.711, 380
2.525, 500
1.849, 198

Crystal structure
```
Li2CoSiO4
1.0
6.3426 0.0000 0.0000
0.0000 5.0509 0.0000
-0.1496 0.0000 10.8427
Li Co Si O
8 4 4 16
Direct
0.0005 0.1918 0.4141 Li
0.0005 0.3082 0.9141 Li
0.2324 0.1948 0.1707 Li
0.2324 0.3052 0.6707 Li
0.7676 0.6948 0.3293 Li
0.7676 0.8052 0.8293 Li
0.9995 0.6918 0.0859 Li
0.9995 0.8082 0.5859 Li
0.4931 0.7016 0.0938 Co
0.4931 0.7984 0.5938 Co
0.5069 0.2016 0.4062 Co
0.5069 0.2984 0.9062 Co
0.2435 0.6903 0.3375 Si
0.2435 0.8097 0.8375 Si
0.7565 0.1903 0.1625 Si
0.7565 0.3097 0.6625 Si
0.0361 0.7012 0.9065 O
0.0361 0.7988 0.4065 O
0.2499 0.7020 0.6928 O
0.2499 0.7980 0.1928 O
0.2520 0.1378 0.8387 O
0.2520 0.3622 0.3387 O
0.4679 0.7049 0.9079 O
0.4679 0.7951 0.4079 O
0.5321 0.2049 0.5921 O
0.5321 0.2951 0.0921 O
0.7480 0.6378 0.6613 O
0.7480 0.8622 0.1613 O
0.7501 0.2020 0.8072 O
0.7501 0.2980 0.3072 O
0.9639 0.2012 0.5935 O
0.9639 0.2988 0.0935 O
```